Computed PXRD pattern
Compound: Pr4Ag3Ru
Radiation: Cu Kα
Structure: a GGA-PBE-relaxed structure
No peak broadening, texture or thermal motion is included.

Cell and atoms:
```
data_Pr4Ag3Ru
_chemical_formula_sum 'Pr4 Ag3 Ru1'
_cell_length_a 3.635
_cell_length_b 3.635
_cell_length_c 15.591
_cell_angle_alpha 90.00
_cell_angle_beta 90.00
_cell_angle_gamma 90.00
_symmetry_space_group_name_H-M 'P 4/m m m'
_symmetry_Int_Tables_number 123
_symmetry_space_group_name_Hall '-P 4 2'
loop_
_atom_site_label
_atom_site_fract_x
_atom_site_fract_y
_atom_site_fract_z
Pr1 0.000 0.000 0.110
Pr2 0.000 0.000 0.371
Ag1 0.500 0.500 0.244
Ag2 0.500 0.500 0.500
Ru1 0.500 0.500 0.000
```

Most intense lines, 10° ≤ 2θ ≤ 90°, low angle first:
2θ = 33.71°, d 2.658, I = 100, (1 0 4)
2θ = 34.91°, d 2.570, I = 48, (1 1 0)
2θ = 46.60°, d 1.949, I = 9, (0 0 8)
2θ = 50.19°, d 1.818, I = 17, (2 0 0)
2θ = 59.53°, d 1.553, I = 17, (1 1 8)
2θ = 61.83°, d 1.500, I = 34, (2 1 4)
2θ = 70.90°, d 1.329, I = 10, (2 0 8)
2θ = 84.23°, d 1.150, I = 7, (3 1 0)